# 1
Starting from DFT lattice parameters and positions (GGA-PBE), the X-ray diffraction stick pattern of HoErLu2 was computed for Cu Kα, 1.54184 Å.
Kinematic intensities with the Lorentz-polarization factor, no thermal factor.

Main lines, low angle first (15 to 90 degrees two-theta):
29.1 deg, I 24.0
32.6 deg, I 23.8
33.5 deg, I 100.0
44.3 deg, I 15.4
51.6 deg, I 19.8
58.7 deg, I 20.2
62.4 deg, I 22.4
62.9 deg, I 16.4
81.9 deg, I 7.9
85.6 deg, I 14.3

Atomic structure:
```
data_HoErLu2
_space_group_name_H-M_alt 'C m c m'
_space_group_IT_number 63
_space_group_name_Hall '-C 2c 2'
_cell_length_a 7.085
_cell_length_b 12.278
_cell_length_c 5.492
_cell_angle_alpha 90.00
_cell_angle_beta 90.00
_cell_angle_gamma 90.00
loop_
_atom_site_label
_atom_site_type_symbol
_atom_site_fract_x
_atom_site_fract_y
_atom_site_fract_z
Ho1 Ho 0.000 0.166 0.250
Er1 Er 0.000 0.334 0.750
Lu1 Lu 0.250 0.083 0.750
```

***

# 2
Starting from DFT lattice parameters and positions (GGA-PBE), the X-ray diffraction stick pattern of KNaBiAu was computed for Cu Kα, 1.54184 Å.
Kinematic intensities with the Lorentz-polarization factor, no thermal factor.

Main lines, low angle first (15 to 90 degrees two-theta):
17.3 deg, I 100.0
20.0 deg, I 65.0
31.5 deg, I 51.9
31.8 deg, I 49.2
36.0 deg, I 36.7
36.5 deg, I 45.3
40.3 deg, I 19.6
40.6 deg, I 45.4
51.4 deg, I 23.2
68.0 deg, I 19.1

Atomic structure:
```
data_KNaBiAu
_space_group_name_H-M_alt 'A m a 2'
_space_group_IT_number 40
_space_group_name_Hall 'A 2 -2a'
_cell_length_a 6.403
_cell_length_b 7.726
_cell_length_c 10.279
_cell_angle_alpha 90.00
_cell_angle_beta 90.00
_cell_angle_gamma 90.00
loop_
_atom_site_label
_atom_site_type_symbol
_atom_site_fract_x
_atom_site_fract_y
_atom_site_fract_z
K1 K 0.250 0.188 0.000
Na1 Na 0.250 0.183 0.654
Bi1 Bi 0.250 0.292 0.329
Au1 Au 0.000 0.000 0.302
```